(1)
Calculated powder X-ray diffraction pattern
Compound: Nd3Dy8
Radiation: λ = 1.5418 Å (Cu Kα)
Structure: the PBE geometry in Alexandria
Intensities are scaled so that the largest is 100.

Largest 9 diffraction maxima, in order of rising 2θ, 2θ = 5–70°:
two_theta  I (rel.)
30.59  100
30.71  32
35.50  67
51.01  24
51.16  23
60.70  43
60.86  14
63.69  13
63.95  4

Atomic structure:
a b c (Å): 32.0954 32.0954 32.0954
angles (deg): 6.40 6.40 6.40
Sites, in units of the cell vectors:
Nd: 0.0000 0.0000 0.0000
Nd: 0.2721 0.2721 0.2721
Nd: 0.7279 0.7279 0.7279
Dy: 0.0920 0.0920 0.0920
Dy: 0.1816 0.1816 0.1816
Dy: 0.3640 0.3640 0.3640
Dy: 0.4552 0.4552 0.4552
Dy: 0.5448 0.5448 0.5448
Dy: 0.6360 0.6360 0.6360
Dy: 0.8184 0.8184 0.8184
Dy: 0.9080 0.9080 0.9080

***

(2)
Calculated powder X-ray diffraction pattern
Compound: Nd3Dy13
Radiation: λ = 1.5418 Å (Cu Kα)
Structure: the PBE geometry in Alexandria
Intensities are scaled so that the largest is 100.

Largest 6 diffraction maxima, in order of rising 2θ, 2θ = 5–70°:
two_theta  I (rel.)
30.70  100
35.60  51
51.22  36
60.88  29
60.97  14
63.93  12

Atomic structure:
a b c (Å): 10.0759 7.1384 7.1384
angles (deg): 89.96 90.00 90.00
Sites, in units of the cell vectors:
Nd: 0.0000 0.0000 0.0000
Nd: 0.2508 0.2523 0.2523
Nd: 0.7492 0.2523 0.2523
Dy: 0.0000 0.9999 0.5030
Dy: 0.0000 0.5030 0.9999
Dy: 0.0000 0.5030 0.5030
Dy: 0.2512 0.2520 0.7509
Dy: 0.2512 0.7509 0.2520
Dy: 0.2514 0.7506 0.7506
Dy: 0.5000 0.9997 0.9997
Dy: 0.5000 0.0004 0.5029
Dy: 0.5000 0.5029 0.0004
Dy: 0.5000 0.5034 0.5034
Dy: 0.7488 0.2520 0.7509
Dy: 0.7488 0.7509 0.2520
Dy: 0.7486 0.7506 0.7506

***

(3)
Calculated powder X-ray diffraction pattern
Compound: Nd5Dy3
Radiation: λ = 1.5418 Å (Cu Kα)
Structure: the PBE geometry in Alexandria
Intensities are scaled so that the largest is 100.

Largest 7 diffraction maxima, in order of rising 2θ, 2θ = 5–70°:
two_theta  I (rel.)
30.14  100
34.90  34
35.03  17
50.25  36
59.66  29
59.83  14
62.66  12

Atomic structure:
a b c (Å): 3.6359 3.6359 20.4929
angles (deg): 90.00 90.00 90.00
Sites, in units of the cell vectors:
Nd: 0.0000 0.0000 0.0000
Nd: 0.0000 0.0000 0.2477
Nd: 0.0000 0.0000 0.7523
Nd: 0.5000 0.5000 0.3758
Nd: 0.5000 0.5000 0.6242
Dy: 0.0000 0.0000 0.5000
Dy: 0.5000 0.5000 0.1233
Dy: 0.5000 0.5000 0.8767

***

(4)
Calculated powder X-ray diffraction pattern
Compound: Nd4Dy
Radiation: λ = 1.5418 Å (Cu Kα)
Structure: the PBE geometry in Alexandria
Intensities are scaled so that the largest is 100.

Largest 6 diffraction maxima, in order of rising 2θ, 2θ = 5–70°:
two_theta  I (rel.)
5.93  1
29.97  100
34.74  51
49.95  36
59.36  43
62.28  12

Atomic structure:
a b c (Å): 15.0403 15.0403 15.0403
angles (deg): 13.95 13.95 13.95
Sites, in units of the cell vectors:
Nd: 0.1013 0.1013 0.1013
Nd: 0.2997 0.2997 0.2997
Nd: 0.7003 0.7003 0.7003
Nd: 0.8987 0.8987 0.8987
Dy: 0.5000 0.5000 0.5000

***

(5)
Calculated powder X-ray diffraction pattern
Compound: Nd7Dy3
Radiation: λ = 1.5418 Å (Cu Kα)
Structure: the PBE geometry in Alexandria
Intensities are scaled so that the largest is 100.

Largest 8 diffraction maxima, in order of rising 2θ, 2θ = 5–70°:
two_theta  I (rel.)
30.08  100
34.84  34
34.96  17
50.11  18
50.20  18
59.55  29
59.70  14
62.54  12

Atomic structure:
a b c (Å): 9.6342 9.6342 7.2702
angles (deg): 101.09 101.09 30.99
Sites, in units of the cell vectors:
Nd: 0.0000 0.0000 0.0000
Nd: 0.2000 0.2000 0.6006
Nd: 0.3991 0.3991 0.1986
Nd: 0.4003 0.4003 0.7009
Nd: 0.5997 0.5997 0.2991
Nd: 0.6009 0.6009 0.8014
Nd: 0.8000 0.8000 0.3994
Dy: 0.0000 0.0000 0.5000
Dy: 0.2009 0.2009 0.1003
Dy: 0.7991 0.7991 0.8997

***

(6)
Calculated powder X-ray diffraction pattern
Compound: Nd3Dy13
Radiation: λ = 1.5418 Å (Cu Kα)
Structure: the PBE geometry in Alexandria
Intensities are scaled so that the largest is 100.

Largest 12 diffraction maxima, in order of rising 2θ, 2θ = 5–70°:
two_theta  I (rel.)
28.33  24
31.47  24
32.49  100
42.85  16
50.07  7
50.19  13
56.68  21
60.41  23
60.99  11
61.12  6
65.69  3
68.00  3

Atomic structure:
a b c (Å): 7.2866 8.4808 8.4808
angles (deg): 84.20 90.00 90.00
Sites, in units of the cell vectors:
Nd: 0.0000 0.0000 0.0000
Nd: 0.2515 0.7471 0.7471
Nd: 0.7485 0.7471 0.7471
Dy: 0.0000 0.4142 0.9167
Dy: 0.0000 0.4969 0.4969
Dy: 0.0000 0.9167 0.4142
Dy: 0.2502 0.2495 0.2495
Dy: 0.2510 0.1680 0.6629
Dy: 0.2510 0.6629 0.1680
Dy: 0.5000 0.0000 0.0000
Dy: 0.5000 0.4125 0.9184
Dy: 0.5000 0.4970 0.4970
Dy: 0.5000 0.9184 0.4125
Dy: 0.7490 0.1680 0.6629
Dy: 0.7490 0.6629 0.1680
Dy: 0.7498 0.2495 0.2495

***

(7)
Calculated powder X-ray diffraction pattern
Compound: Nd7Dy
Radiation: λ = 1.5418 Å (Cu Kα)
Structure: the PBE geometry in Alexandria
Intensities are scaled so that the largest is 100.

Largest 5 diffraction maxima, in order of rising 2θ, 2θ = 5–70°:
two_theta  I (rel.)
29.89  100
34.65  51
49.81  36
59.18  43
62.09  12

Atomic structure:
a b c (Å): 7.3230 7.3230 7.3230
angles (deg): 60.00 60.00 60.00
Sites, in units of the cell vectors:
Nd: 0.0000 0.0000 0.0000
Nd: 0.0000 0.0000 0.5000
Nd: 0.0000 0.5000 0.0000
Nd: 0.0000 0.5000 0.5000
Nd: 0.5000 0.0000 0.0000
Nd: 0.5000 0.0000 0.5000
Nd: 0.5000 0.5000 0.0000
Dy: 0.5000 0.5000 0.5000

***

(8)
Calculated powder X-ray diffraction pattern
Compound: Nd5Dy3
Radiation: λ = 1.5418 Å (Cu Kα)
Structure: the PBE geometry in Alexandria
Intensities are scaled so that the largest is 100.

Largest 8 diffraction maxima, in order of rising 2θ, 2θ = 5–70°:
two_theta  I (rel.)
30.17  100
34.90  34
35.13  17
50.19  12
50.36  24
59.68  29
59.99  14
62.74  12

Atomic structure:
a b c (Å): 5.1089 5.1439 10.2770
angles (deg): 90.00 90.00 90.00
Sites, in units of the cell vectors:
Nd: 0.0000 0.0000 0.0000
Nd: 0.0000 0.0000 0.5000
Nd: 0.0000 0.5000 0.2479
Nd: 0.0000 0.5000 0.7521
Nd: 0.5000 0.5000 0.5000
Dy: 0.5000 0.0000 0.2479
Dy: 0.5000 0.0000 0.7521
Dy: 0.5000 0.5000 0.0000